Diffraction record for KInPbAu. The powder diffractogram is simulated, not measured: it uses a crystal structure in OQMD, relaxed with GGA-PBE and Cu Kα (weighted mean of Kα1 and Kα2).

Largest 12 diffraction maxima, by intensity, 2θ from 10° to 90°:
two_theta	Rel. int.
18.10	100
18.86	95
38.30	85
37.10	84
27.73	83
41.61	60
28.88	53
29.30	52
39.84	50
33.08	46
33.35	39
41.79	39

Atomic structure:
```
8
Lattice="9.8268 -2.4231 0.0000 9.8268 2.4231 0.0000 -0.3798 0.0000 5.3731" Properties=species:S:1:pos:R:3 pbc="T T T"
K 2.0595 0.0000 1.4941
K 17.2143 0.0000 3.8790
In 5.8364 0.0000 0.8870
In 13.4374 0.0000 4.4861
Pb 8.9202 0.0000 1.2823
Pb 10.3535 0.0000 4.0908
Au 4.8281 0.0000 3.5404
Au 14.4456 0.0000 1.8326
```